[1]
Computed PXRD pattern
Compound: Ce6Ge3H2
Radiation: Cu Kα (weighted mean of Kα1 and Kα2)
Structure: a structure optimized by DFT (GGA-PBE)
Peak positions follow from Bragg's law for the DFT cell and can differ from measured ones.

Structure:
```
11
Lattice="-2.257 2.257 12.253 2.257 -2.257 12.253 2.257 2.257 -12.253" Properties=species:S:1:pos:R:3 pbc="T T T"
Ce 2.257 0.000 1.990
Ce 0.000 0.000 4.983
Ce 2.257 0.000 10.263
Ce 0.000 2.257 1.990
Ce 0.000 0.000 19.523
Ce 0.000 2.257 10.263
Ge 0.000 0.000 8.056
Ge 0.000 0.000 12.253
Ge 0.000 0.000 16.449
H 0.000 0.000 2.639
H 0.000 0.000 21.867
```

Main lines, in order of falling intensity (10° ≤ 2θ ≤ 90°):
d/Å, two_theta, intensity
2.515, 35.7, 1000
3.089, 28.9, 714
2.257, 39.9, 602
2.831, 31.6, 280
1.348, 69.8, 279
2.766, 32.4, 259



[2]
Computed PXRD pattern
Compound: Ce6Ge5H
Radiation: Cu Kα (weighted mean of Kα1 and Kα2)
Structure: a structure optimized by DFT (GGA-PBE)
Peak positions follow from Bragg's law for the DFT cell and can differ from measured ones.

Structure:
```
12
Lattice="3.625 -6.269 0.000 3.625 6.269 0.000 -2.416 0.000 6.832" Properties=species:S:1:pos:R:3 pbc="T T T"
Ce -0.023 2.051 5.105
Ce 1.168 0.000 1.713
Ce -0.023 -2.051 5.105
Ce 4.856 2.051 1.727
Ce 3.665 0.000 5.119
Ce 4.856 -2.051 1.727
Ge 3.625 4.146 0.000
Ge 2.417 2.088 3.416
Ge 3.625 0.000 0.000
Ge 2.417 -2.088 3.416
Ge 3.625 -4.146 0.000
H -1.208 0.000 3.416
```

Main lines, in order of falling intensity (10° ≤ 2θ ≤ 90°):
d/Å, two_theta, intensity
2.958, 30.2, 1000
2.091, 43.3, 744
1.323, 71.3, 330
3.415, 26.1, 272
1.708, 53.7, 261
1.208, 79.3, 164



[3]
Computed PXRD pattern
Compound: CeGeHIr
Radiation: Cu Kα (weighted mean of Kα1 and Kα2)
Structure: a structure optimized by DFT (GGA-PBE)
Peak positions follow from Bragg's law for the DFT cell and can differ from measured ones.

Structure:
```
4
Lattice="4.412 0.000 0.000 -2.206 3.821 0.000 0.000 0.000 3.776" Properties=species:S:1:pos:R:3 pbc="T T T"
Ce 0.000 0.000 0.000
Ge 0.000 2.547 1.888
H 2.206 1.274 0.000
Ir 2.206 1.274 1.888
```

Main lines, in order of falling intensity (10° ≤ 2θ ≤ 90°):
d/Å, two_theta, intensity
2.686, 33.4, 1000
2.206, 40.9, 568
1.434, 65.0, 288
1.705, 53.8, 260
1.349, 69.7, 240
3.821, 23.3, 147



[4]
Computed PXRD pattern
Compound: CeNiGeH
Radiation: Cu Kα (weighted mean of Kα1 and Kα2)
Structure: a structure optimized by DFT (GGA-PBE)
Peak positions follow from Bragg's law for the DFT cell and can differ from measured ones.

Structure:
```
4
Lattice="4.235 0.000 0.000 -2.117 3.668 0.000 0.000 0.000 3.762" Properties=species:S:1:pos:R:3 pbc="T T T"
Ce 0.000 0.000 0.000
Ni 2.117 1.223 1.881
Ge 0.000 2.445 1.881
H 2.117 1.223 0.000
```

Main lines, in order of falling intensity (10° ≤ 2θ ≤ 90°):
d/Å, two_theta, intensity
2.626, 34.1, 1000
2.117, 42.7, 483
1.406, 66.5, 249
1.648, 55.8, 241
1.301, 72.7, 216
3.668, 24.3, 127